Diffraction record for NaSr2CrF8. The powder X-ray diffraction pattern is theoretical, not measured: it uses a structure optimized by DFT (PBE+U) and Cu Kα.

Atomic structure:
Lattice parameters (Å, degrees): 7.9048 6.3514 15.0922 90.00 112.63 90.00
Space group P2_1/c (No. 14)
Unique sites:
Na  0.1361  0.1669  0.4391 x4
Sr  0.0971  0.2145  0.1976 x4
Sr  0.4151  0.6523  0.3560 x4
Cr  0.3073  0.7185  0.0971 x4
F  0.0794  0.6969  0.9840 x4
F  0.1465  0.0604  0.8436 x4
F  0.1788  0.6149  0.1772 x4
F  0.1829  0.5626  0.8258 x4
F  0.2543  0.0126  0.1125 x4
F  0.3590  0.0710  0.5791 x4
F  0.4493  0.6815  0.5270 x4
F  0.4705  0.2399  0.7841 x4

The 10 most intense peaks (10° ≤ 2θ ≤ 90°), by intensity:
(hkl), two_theta, I (rel.)
2 1 0, 28.2, 100.0
2 1 -2, 26.8, 91.8
0 1 4, 29.2, 63.1
1 0 -8, 48.9, 57.7
1 0 -4, 23.7, 48.8
0 2 0, 28.1, 43.0
1 1 -4, 27.6, 43.0
4 0 -2, 46.3, 42.7
2 0 4, 42.2, 37.7
0 2 1, 28.8, 34.8